Calculated PXRD pattern of BaCdAs2O7 for Cu Kα (λ = 1.5418 Å), from a crystal structure in Alexandria, relaxed with PBE.
No peak broadening, texture or thermal motion is included.

Largest 12 diffraction maxima, in order of rising 2θ, 10° ≤ 2θ ≤ 90°:
Position (°2θ), Rel. int., h k l
18.18, 24.0, 1 -1 0
24.46, 94.1, 0 2 0
27.11, 68.4, 1 0 -2
27.81, 45.3, 1 -2 1
27.93, 100.0, 1 0 2
28.79, 35.6, 1 1 -2
30.53, 73.5, 2 0 0
30.79, 57.2, -1 1 2
31.42, 34.0, 2 -1 0
32.89, 25.5, 1 -2 2
34.45, 26.1, 0 1 -3
41.62, 35.0, 1 2 2

Crystal structure
```
BaCdAs2O7
1.0
5.906 0.000 0.000
-0.935 7.410 0.000
-0.064 -1.494 7.782
Ba Cd As O
2 2 4 14
direct
0.204 0.273 0.432
0.796 0.727 0.568
0.188 0.166 0.899
0.812 0.834 0.101
0.289 0.668 0.897
0.310 0.772 0.310
0.690 0.228 0.690
0.711 0.332 0.103
0.088 0.818 0.889
0.091 0.904 0.317
0.218 0.457 0.776
0.279 0.612 0.109
0.281 0.642 0.465
0.426 0.103 0.677
0.442 0.228 0.125
0.558 0.772 0.875
0.574 0.897 0.323
0.719 0.358 0.535
0.721 0.388 0.891
0.782 0.543 0.224
0.909 0.096 0.683
0.912 0.182 0.111
```